The following is a simulated powder diffraction line list of CaNi2Cl. It was derived from a crystal structure in Alexandria, relaxed with GGA-PBE, using Cu Ka.
Lines closer than 0.1° are merged.

Main lines, in order of rising 2θ (5° ≤ 2θ ≤ 70°):
d (Å)	intensity	hkl
6.605	98.5	0 0 1
3.366	24.5	1 0 0
3.302	46.9	0 0 2
2.999	100.0	1 0 1
2.357	91.9	0 1 2
2.202	23.4	0 0 3
1.944	77.5	1 1 0
1.865	23.8	1 1 1
1.675	35.3	1 1 2
1.457	34.0	1 1 3

Structural model:
```
data_CaNi2Cl
_chemical_formula_sum 'Ca1 Ni2 Cl1'
_cell_length_a 3.8871
_cell_length_b 3.8871
_cell_length_c 6.6046
_cell_angle_alpha 90.00
_cell_angle_beta 90.00
_cell_angle_gamma 120.00
_space_group_name_H-M_alt 'P 3 m 1'
_space_group_IT_number 156
loop_
_space_group_symop_operation_xyz
'x,y,z'
'-y,x-y,z'
'-x+y,-x,z'
'-y,-x,z'
'-x+y,y,z'
'x,x-y,z'
loop_
_atom_site_label
_atom_site_type_symbol
_atom_site_fract_x
_atom_site_fract_y
_atom_site_fract_z
Ca1 Ca 0.0000 0.0000 0.0000
Ni1 Ni 0.3333 0.6667 0.3230
Ni2 Ni 0.6667 0.3333 0.3078
Cl1 Cl 0.3333 0.6667 0.7554
```


The following is a simulated powder diffraction line list of Rb2CaNiCl6. It was derived from a crystal structure in Alexandria, relaxed with GGA-PBE, using Cu Ka.
Lines closer than 0.1° are merged.

Main lines, in order of rising 2θ (5° ≤ 2θ ≤ 70°):
d (Å)	intensity	hkl
5.937	8.0	1 1 1
3.635	92.7	2 2 0
2.968	65.3	2 2 2
2.571	100.0	4 0 0
2.099	39.7	4 2 2
1.818	63.8	4 4 0
1.626	19.7	6 2 0
1.550	21.9	6 2 2
1.484	20.6	4 4 4
1.374	21.4	6 4 2

Structural model:
```
data_Rb2CaNiCl6
_chemical_formula_sum 'Rb8 Ca4 Ni4 Cl24'
_cell_length_a 10.283
_cell_length_b 10.283
_cell_length_c 10.283
_cell_angle_alpha 90.00
_cell_angle_beta 90.00
_cell_angle_gamma 90.00
_space_group_name_H-M_alt 'F m -3 m'
_space_group_IT_number 225
_space_group_name_Hall '-F 4 2 3'
loop_
_atom_site_label
_atom_site_type_symbol
_atom_site_fract_x
_atom_site_fract_y
_atom_site_fract_z
Rb1 Rb 0.250 0.250 0.250
Ca1 Ca 0.000 0.000 0.000
Ni1 Ni 0.000 0.000 0.500
Cl1 Cl 0.000 0.000 0.264
```


The following is a simulated powder diffraction line list of CaNpCl6. It was derived from a crystal structure in Alexandria, relaxed with GGA-PBE, using Cu Ka.
Lines closer than 0.1° are merged.

Main lines, in order of rising 2θ (5° ≤ 2θ ≤ 70°):
d (Å)	intensity	hkl
6.205	23.6	0 0 1
5.628	58.1	0 1 0
4.986	100.0	1 1 0
3.655	37.4	1 1 2
2.988	46.2	2 1 2
2.493	19.2	2 0 2
2.294	46.0	1 2 -1
2.170	20.1	2 3 1
2.012	17.2	1 3 0
1.968	22.0	3 3 2

Structural model:
```
data_CaNpCl6
_chemical_formula_sum 'Ca1 Np1 Cl6'
_cell_length_a 6.812
_cell_length_b 6.820
_cell_length_c 7.344
_cell_angle_alpha 62.41
_cell_angle_beta 62.41
_cell_angle_gamma 60.04
_space_group_name_H-M_alt 'P -1'
_space_group_IT_number 2
loop_
_space_group_symop_operation_xyz
'x,y,z'
'-x,-y,-z'
loop_
_atom_site_label
_atom_site_type_symbol
_atom_site_fract_x
_atom_site_fract_y
_atom_site_fract_z
Ca1 Ca 0.000 0.000 0.000
Np1 Np 0.500 0.500 0.500
Cl1 Cl 0.112 0.739 0.744
Cl2 Cl 0.260 0.595 0.256
Cl3 Cl 0.405 0.112 0.744
```


Please write out number 2 again, unchanged.
The following is a simulated powder diffraction line list of Rb2CaNiCl6. It was derived from a crystal structure in Alexandria, relaxed with GGA-PBE, using Cu Ka.
Lines closer than 0.1° are merged.

Main lines, in order of rising 2θ (5° ≤ 2θ ≤ 70°):
d (Å)	intensity	hkl
5.937	8.0	1 1 1
3.635	92.7	2 2 0
2.968	65.3	2 2 2
2.571	100.0	4 0 0
2.099	39.7	4 2 2
1.818	63.8	4 4 0
1.626	19.7	6 2 0
1.550	21.9	6 2 2
1.484	20.6	4 4 4
1.374	21.4	6 4 2

Structural model:
```
data_Rb2CaNiCl6
_chemical_formula_sum 'Rb8 Ca4 Ni4 Cl24'
_cell_length_a 10.283
_cell_length_b 10.283
_cell_length_c 10.283
_cell_angle_alpha 90.00
_cell_angle_beta 90.00
_cell_angle_gamma 90.00
_space_group_name_H-M_alt 'F m -3 m'
_space_group_IT_number 225
_space_group_name_Hall '-F 4 2 3'
loop_
_atom_site_label
_atom_site_type_symbol
_atom_site_fract_x
_atom_site_fract_y
_atom_site_fract_z
Rb1 Rb 0.250 0.250 0.250
Ca1 Ca 0.000 0.000 0.000
Ni1 Ni 0.000 0.000 0.500
Cl1 Cl 0.000 0.000 0.264
```